Ho3Si3Au2: theoretical powder diffraction line list (Cu Kα, 1.54184 Å), based on DFT lattice parameters and positions (GGA-PBE).
Kinematic intensities with the Lorentz-polarization factor, no thermal factor.

Main lines, by angle (10° ≤ 2θ ≤ 80°):
d (Å)  2θ (°)  I_rel  (hkl)
3.528  25.2  40  0 0 4
3.033  29.4  60  1 1 3
2.678  33.5  94  1 3 1
2.637  34.0  100  1 1 4
2.360  38.1  79  1 3 3
2.313  38.9  37  0 4 3
2.138  42.3  53  2 0 0
1.622  56.8  47  1 3 7

Crystal structure
```
data_Ho3Si3Au2
_chemical_formula_sum 'Ho12 Si12 Au8'
_space_group_name_H-M_alt 'C m c m'
_space_group_IT_number 63
_space_group_name_Hall '-C 2c 2'
_cell_length_a 4.277
_cell_length_b 10.623
_cell_length_c 14.120
_cell_angle_alpha 90.00
_cell_angle_beta 90.00
_cell_angle_gamma 90.00
loop_
_atom_site_label
_atom_site_type_symbol
_atom_site_fract_x
_atom_site_fract_y
_atom_site_fract_z
_atom_site_occupancy
Ho1 Ho 0.000 0.081 0.115 1
Ho2 Ho 0.000 0.363 0.250 1
Si1 Si 0.000 0.351 0.750 1
Si2 Si 0.000 0.400 0.041 1
Au1 Au 0.000 0.210 0.595 1
```